(1)
Structure and theoretical powder diffractogram of CaPr8Dy5 (a structure optimized by DFT (PBE); Cu Kα, 1.54184 Å).
Peak positions follow from Bragg's law for the DFT cell and can differ from measured ones.

Atomic structure:
Unit cell a=8.7001 b=8.7001 c=8.7001 alpha=111.12 beta=111.12 gamma=106.23
Element x y z (fractional)
Ca: 0.0000 0.0000 0.0000
Pr: 0.0950 0.6755 0.7653
Pr: 0.2775 0.5224 0.1032
Pr: 0.3245 0.0898 0.4194
Pr: 0.4192 0.1742 0.8968
Pr: 0.4776 0.5808 0.7551
Pr: 0.6704 0.9050 0.5806
Pr: 0.8258 0.7225 0.2449
Pr: 0.9102 0.3296 0.2347
Dy: 0.0253 0.2131 0.5929
Dy: 0.2500 0.7500 0.5000
Dy: 0.5676 0.9747 0.1878
Dy: 0.6202 0.4324 0.4071
Dy: 0.7869 0.3798 0.8122

Top 10 peaks for 2θ from 10° to 80°, in order of rising 2θ:
2θ/deg, I_rel
27.2, 36.6
28.5, 55.1
28.7, 62.3
30.9, 24.3
32.8, 100.0
33.5, 30.0
33.9, 41.0
53.5, 22.0
59.4, 14.2
61.0, 26.1

***

(2)
Structure and theoretical powder diffractogram of HfTeS (a structure optimized by DFT (PBE); Cu Kα, 1.54184 Å).
Peak positions follow from Bragg's law for the DFT cell and can differ from measured ones.

Atomic structure:
Unit cell a=14.4940 b=3.7945 c=3.7945 alpha=60.13 beta=90.00 gamma=90.00
Element x y z (fractional)
Hf: 0.2228 0.2500 0.7500
Hf: 0.7772 0.7500 0.2500
Te: 0.3546 0.5841 0.0841
Te: 0.6454 0.0841 0.5841
S: 0.1336 0.9172 0.4172
S: 0.8664 0.4172 0.9172

Top 10 peaks for 2θ from 10° to 80°, in order of rising 2θ:
2θ/deg, I_rel
12.2, 100.0
27.8, 31.5
29.8, 48.7
32.9, 48.9
36.9, 32.0
41.5, 26.4
46.7, 13.3
47.8, 9.2
48.4, 28.2
72.1, 7.8

***

(3)
Structure and theoretical powder diffractogram of Ac7Co3Ag (a structure optimized by DFT (PBE); Cu Kα, 1.54184 Å).
Peak positions follow from Bragg's law for the DFT cell and can differ from measured ones.

Atomic structure:
Unit cell a=7.2672 b=7.2672 c=7.0924 alpha=100.74 beta=100.74 gamma=95.05
Element x y z (fractional)
Ac: 0.0000 0.0000 0.0000
Ac: 0.1369 0.5448 0.2694
Ac: 0.3504 0.3504 0.7760
Ac: 0.4552 0.8631 0.7306
Ac: 0.5448 0.1369 0.2694
Ac: 0.6496 0.6496 0.2240
Ac: 0.8631 0.4552 0.7306
Co: 0.2727 0.7273 0.0000
Co: 0.5000 0.5000 0.5000
Co: 0.7273 0.2727 0.0000
Ag: 0.0000 0.0000 0.5000

Top 10 peaks for 2θ from 10° to 80°, in order of rising 2θ:
2θ/deg, I_rel
25.8, 100.0
27.7, 71.3
28.6, 44.7
29.6, 57.4
30.8, 91.0
30.9, 66.7
31.4, 37.0
33.4, 41.7
46.1, 36.0
51.6, 32.8

***

(4)
Structure and theoretical powder diffractogram of SeO3 (a structure optimized by DFT (PBE); Cu Kα, 1.54184 Å).
Peak positions follow from Bragg's law for the DFT cell and can differ from measured ones.

Atomic structure:
Unit cell a=4.7242 b=5.5818 c=10.9249 alpha=90.00 beta=90.00 gamma=90.00
Element x y z (fractional)
Se: 0.1889 0.1508 0.0908
Se: 0.3111 0.8492 0.5908
Se: 0.6889 0.3492 0.9092
Se: 0.8111 0.6508 0.4092
O: 0.1837 0.6971 0.4519
O: 0.2478 0.1320 0.5825
O: 0.2476 0.3142 0.2098
O: 0.2524 0.6858 0.7098
O: 0.2522 0.8680 0.0825
O: 0.3163 0.3029 0.9519
O: 0.6837 0.8029 0.5481
O: 0.7476 0.1858 0.7902
O: 0.7478 0.3680 0.4175
O: 0.7522 0.6320 0.9175
O: 0.7524 0.8142 0.2902
O: 0.8163 0.1971 0.0481

Top 10 peaks for 2θ from 10° to 80°, in order of rising 2θ:
2θ/deg, I_rel
16.2, 26.8
17.8, 100.0
22.8, 38.4
24.7, 20.7
24.9, 74.0
26.0, 32.8
29.7, 18.7
38.1, 24.4
40.7, 16.4
57.0, 15.2

***

(5)
Structure and theoretical powder diffractogram of Y4CSeS2 (a structure optimized by DFT (PBE); Cu Kα, 1.54184 Å).
Peak positions follow from Bragg's law for the DFT cell and can differ from measured ones.

Atomic structure:
Unit cell a=6.7200 b=3.8474 c=6.8849 alpha=90.00 beta=108.98 gamma=90.00
Element x y z (fractional)
Y: 0.2223 0.0000 0.2151
Y: 0.2380 0.5000 0.7814
Y: 0.7620 0.5000 0.2186
Y: 0.7777 0.0000 0.7849
C: 0.0000 0.5000 0.0000
Se: 0.0000 0.0000 0.5000
S: 0.5000 0.0000 0.0000
S: 0.5000 0.5000 0.5000

Top 10 peaks for 2θ from 10° to 80°, in order of rising 2θ:
2θ/deg, I_rel
28.1, 10.5
28.2, 22.1
32.3, 48.3
32.5, 100.0
35.4, 12.2
45.9, 15.2
46.1, 30.0
46.9, 32.9
47.3, 17.7
58.4, 16.5

***

(6)
Structure and theoretical powder diffractogram of Al2Ag7Au (a structure optimized by DFT (PBE); Cu Kα, 1.54184 Å).
Peak positions follow from Bragg's law for the DFT cell and can differ from measured ones.

Atomic structure:
Unit cell a=7.6010 b=7.6010 c=4.4578 alpha=90.00 beta=90.00 gamma=120.39
Element x y z (fractional)
Al: 0.1965 0.8035 0.0000
Al: 0.8035 0.1965 0.0000
Ag: 0.0000 0.0000 0.0000
Ag: 0.2018 0.4273 0.0000
Ag: 0.2906 0.7094 0.5000
Ag: 0.4273 0.2018 0.0000
Ag: 0.5727 0.7982 0.0000
Ag: 0.7094 0.2906 0.5000
Ag: 0.7982 0.5727 0.0000
Au: 0.5000 0.5000 0.5000

Top 10 peaks for 2θ from 10° to 80°, in order of rising 2θ:
2θ/deg, I_rel
13.5, 100.0
24.1, 52.0
31.0, 61.6
33.8, 58.7
36.2, 69.8
40.5, 49.9
41.5, 96.4
41.8, 84.2
55.4, 39.3
75.6, 31.3

***

(7)
Structure and theoretical powder diffractogram of TbNbFe (a structure optimized by DFT (PBE); Cu Kα, 1.54184 Å).
Peak positions follow from Bragg's law for the DFT cell and can differ from measured ones.

Atomic structure:
Unit cell a=6.2772 b=6.2023 c=6.2006 alpha=90.00 beta=90.00 gamma=90.00
Element x y z (fractional)
Tb: 0.1295 0.0576 0.2500
Tb: 0.1295 0.4424 0.7500
Tb: 0.8705 0.5576 0.2500
Tb: 0.8705 0.9424 0.7500
Nb: 0.4683 0.7500 0.0000
Nb: 0.4683 0.7500 0.5000
Nb: 0.5317 0.2500 0.0000
Nb: 0.5317 0.2500 0.5000
Fe: 0.3155 0.0209 0.7500
Fe: 0.3155 0.4791 0.2500
Fe: 0.6845 0.5209 0.7500
Fe: 0.6845 0.9791 0.2500

Top 10 peaks for 2θ from 10° to 80°, in order of rising 2θ:
2θ/deg, I_rel
24.8, 16.9
28.8, 22.3
32.2, 100.0
35.2, 91.0
35.4, 25.9
40.9, 30.0
41.2, 59.2
55.2, 33.1
59.6, 16.5
66.8, 16.7

***

(8)
Structure and theoretical powder diffractogram of LuMgPbAu (a structure optimized by DFT (PBE); Cu Kα, 1.54184 Å).
Peak positions follow from Bragg's law for the DFT cell and can differ from measured ones.

Atomic structure:
Unit cell a=5.0569 b=5.0569 c=5.0569 alpha=60.00 beta=60.00 gamma=60.00
Element x y z (fractional)
Lu: 0.0000 0.0000 0.0000
Mg: 0.5000 0.5000 0.5000
Pb: 0.2500 0.2500 0.2500
Au: 0.7500 0.7500 0.7500

Top 10 peaks for 2θ from 10° to 80°, in order of rising 2θ:
2θ/deg, I_rel
21.5, 13.9
24.9, 13.8
35.5, 100.0
41.9, 7.6
43.9, 4.4
51.1, 18.0
56.1, 3.3
57.6, 6.0
63.8, 37.3
75.2, 11.7